# 1
# LiAl3Au3
Theoretical PXRD pattern, Cu Kα (weighted mean of Kα1 and Kα2). Input: a PBE-relaxed structure.
Peak positions follow from Bragg's law for the DFT cell and can differ from measured ones.

Most intense lines, 2θ from 15° to 90°, in order of rising 2θ:
19.79 deg, d 4.485, intensity 46, (1 1 0)
20.27 deg, d 4.381, intensity 27, (1 0 1)
28.48 deg, d 3.134, intensity 100, (0 2 1)
40.21 deg, d 2.243, intensity 73, (2 2 0)
41.22 deg, d 2.190, intensity 68, (2 0 2)
73.76 deg, d 1.285, intensity 25, (4 2 2)

Crystal structure
Cell lengths 8.9709, 8.9709, 5.3042 Å; angles 90.00, 90.00, 120.00 degrees
Space group R-3m (No. 166, hexagonal axes)
Inequivalent atoms, fractional coordinates:
Li 0.0000 0.0000 0.0000 [3 per cell]
Al 0.0000 0.5000 0.0000 [9 per cell]
Au 0.0000 0.5000 0.5000 [9 per cell]

# 2
# Cs3PmBi2Se6
Theoretical PXRD pattern, Cu Kα (weighted mean of Kα1 and Kα2). Input: a PBE-relaxed structure.
Peak positions follow from Bragg's law for the DFT cell and can differ from measured ones.

Most intense lines, 2θ from 15° to 90°, in order of rising 2θ:
24.46 deg, d 3.639, intensity 16, (2 0 0)
27.42 deg, d 3.253, intensity 100, (1 3 1)
37.12 deg, d 2.422, intensity 35, (2 0 2)
41.12 deg, d 2.195, intensity 36, (0 6 0)
50.13 deg, d 1.820, intensity 19, (4 0 0)
66.77 deg, d 1.401, intensity 16, (4 6 0)

Crystal structure
Cell lengths 7.6050, 13.1708, 8.7528 Å; angles 90.00, 106.83, 90.00 degrees
Space group C2/m (No. 12)
Inequivalent atoms, fractional coordinates:
Cs 0.0000 0.0000 0.0000 [2 per cell]
Cs 0.0000 0.3323 0.0000 [4 per cell]
Pm 0.0000 0.5000 0.5000 [2 per cell]
Bi 0.0000 0.1665 0.5000 [4 per cell]
Se 0.2297 0.3339 0.6908 [8 per cell]
Se 0.2314 0.0000 0.6910 [4 per cell]

# 3
# Ce2CdRhAu
Theoretical PXRD pattern, Cu Kα (weighted mean of Kα1 and Kα2). Input: a PBE-relaxed structure.
Peak positions follow from Bragg's law for the DFT cell and can differ from measured ones.

Most intense lines, 2θ from 15° to 90°, in order of rising 2θ:
27.90 deg, d 3.198, intensity 55, (1 1 1)
32.15 deg, d 2.784, intensity 63, (2 1 -1)
36.41 deg, d 2.467, intensity 81, (2 1 -2)
36.81 deg, d 2.441, intensity 100, (1 1 2)
38.06 deg, d 2.364, intensity 74, (0 2 0)
40.13 deg, d 2.247, intensity 43, (3 0 0)

Crystal structure
Cell lengths 7.0224, 4.7282, 7.4656 Å; angles 90.00, 106.26, 90.00 degrees
Space group P2_1/m (No. 11)
Inequivalent atoms, fractional coordinates:
Ce 0.0248 0.2500 0.2158 [2 per cell]
Ce 0.3401 0.7500 0.6385 [2 per cell]
Cd 0.3467 0.7500 0.1919 [2 per cell]
Rh 0.0833 0.2500 0.5995 [2 per cell]
Au 0.3108 0.2500 0.9669 [2 per cell]

# 4
# AcCu3Bi4O12
Theoretical PXRD pattern, Cu Kα (weighted mean of Kα1 and Kα2). Input: a PBE-relaxed structure.
Peak positions follow from Bragg's law for the DFT cell and can differ from measured ones.

Most intense lines, 2θ from 15° to 90°, in order of rising 2θ:
30.54 deg, d 2.927, intensity 100, (2 2 0)
43.73 deg, d 2.070, intensity 21, (4 0 0)
54.28 deg, d 1.690, intensity 47, (4 2 2)
63.57 deg, d 1.464, intensity 13, (4 4 0)
72.16 deg, d 1.309, intensity 19, (6 0 2)
88.34 deg, d 1.106, intensity 23, (6 4 2)

Crystal structure
Cell lengths 8.2793, 8.2793, 8.2793 Å; angles 90.00, 90.00, 90.00 degrees
Space group Im-3 (No. 204)
Inequivalent atoms, fractional coordinates:
Ac 0.0000 0.0000 0.0000 [2 per cell]
Cu 0.0000 0.0000 0.5000 [6 per cell]
Bi 0.2500 0.2500 0.2500 [8 per cell]
O 0.0000 0.1526 0.3162 [24 per cell]

# 5
# KZr6BI14
Theoretical PXRD pattern, Cu Kα (weighted mean of Kα1 and Kα2). Input: a PBE-relaxed structure.
Peak positions follow from Bragg's law for the DFT cell and can differ from measured ones.

Most intense lines, 2θ from 15° to 90°, in order of rising 2θ:
25.87 deg, d 3.444, intensity 54, (4 2 1)
27.11 deg, d 3.289, intensity 92, (0 4 2)
27.52 deg, d 3.241, intensity 36, (0 0 4)
28.54 deg, d 3.127, intensity 96, (4 2 2)
32.53 deg, d 2.752, intensity 100, (4 2 3)
41.96 deg, d 2.153, intensity 43, (4 6 0)

Crystal structure
Cell lengths 16.1576, 15.2694, 12.9633 Å; angles 90.00, 90.00, 90.00 degrees
Space group Cmce (No. 64)
Inequivalent atoms, fractional coordinates:
K 0.0000 0.0000 0.0000 [4 per cell]
Zr 0.0000 0.1286 0.4030 [8 per cell]
Zr 0.1059 0.0605 0.6106 [16 per cell]
B 0.0000 0.0000 0.5000 [4 per cell]
I 0.0000 0.1473 0.7660 [8 per cell]
I 0.1230 0.0878 0.2478 [16 per cell]
I 0.1244 0.2300 0.5090 [16 per cell]
I 0.2503 0.0000 0.0000 [8 per cell]
I 0.2500 0.1434 0.7500 [8 per cell]

# 6
# Dy2GaGePd6
Theoretical PXRD pattern, Cu Kα (weighted mean of Kα1 and Kα2). Input: a PBE-relaxed structure.
Peak positions follow from Bragg's law for the DFT cell and can differ from measured ones.

Most intense lines, 2θ from 15° to 90°, in order of rising 2θ:
35.84 deg, d 2.506, intensity 32, (1 1 -2)
37.76 deg, d 2.382, intensity 72, (0 2 2)
40.01 deg, d 2.254, intensity 56, (2 0 -1)
40.20 deg, d 2.243, intensity 100, (2 2 1)
40.46 deg, d 2.229, intensity 38, (1 2 -1)
40.87 deg, d 2.208, intensity 91, (1 1 3)

Crystal structure
Cell lengths 5.0971, 5.5970, 7.4198 Å; angles 70.31, 89.96, 63.41 degrees
Space group P1 (No. 1)
Inequivalent atoms, fractional coordinates:
Dy 0.0000 0.0000 0.0000 [1 per cell]
Dy 0.3044 0.9981 0.5065 [1 per cell]
Ga 0.6460 0.3136 0.2880 [1 per cell]
Ge 0.3385 0.3100 0.7890 [1 per cell]
Pd 0.1069 0.4050 0.1057 [1 per cell]
Pd 0.1661 0.6054 0.4123 [1 per cell]
Pd 0.5242 0.5921 0.9151 [1 per cell]
Pd 0.5893 0.8465 0.1840 [1 per cell]
Pd 0.7719 0.4064 0.5961 [1 per cell]
Pd 0.8746 0.8284 0.6937 [1 per cell]

# 7
# MnTl2NiTe
Theoretical PXRD pattern, Cu Kα (weighted mean of Kα1 and Kα2). Input: a PBE-relaxed structure.
Peak positions follow from Bragg's law for the DFT cell and can differ from measured ones.

Most intense lines, 2θ from 15° to 90°, in order of rising 2θ:
18.10 deg, d 4.901, intensity 27, (0 0 1)
30.81 deg, d 2.902, intensity 100, (1 1 1)
35.25 deg, d 2.546, intensity 55, (2 0 0)
36.68 deg, d 2.450, intensity 25, (0 0 2)
51.78 deg, d 1.766, intensity 37, (2 0 2)
60.52 deg, d 1.530, intensity 30, (3 1 1)

Crystal structure
Cell lengths 5.0925, 5.0925, 4.9006 Å; angles 90.00, 90.00, 90.00 degrees
Space group P4/mmm (No. 123)
Inequivalent atoms, fractional coordinates:
Mn 0.0000 0.0000 0.0000 [1 per cell]
Tl 0.0000 0.5000 0.5000 [2 per cell]
Ni 0.0000 0.0000 0.5000 [1 per cell]
Te 0.5000 0.5000 0.0000 [1 per cell]

# 8
# YTh
Theoretical PXRD pattern, Cu Kα (weighted mean of Kα1 and Kα2). Input: a PBE-relaxed structure.
Peak positions follow from Bragg's law for the DFT cell and can differ from measured ones.

Most intense lines, 2θ from 15° to 90°, in order of rising 2θ:
29.11 deg, d 3.068, intensity 56, (0 1 2)
30.98 deg, d 2.887, intensity 43, (0 0 12)
31.47 deg, d 2.843, intensity 100, (0 1 5)
33.99 deg, d 2.638, intensity 78, (1 0 7)
50.73 deg, d 1.800, intensity 33, (1 1 0)
60.63 deg, d 1.527, intensity 38, (1 1 12)

Crystal structure
Cell lengths 3.5995, 3.5995, 34.6399 Å; angles 90.00, 90.00, 120.00 degrees
Space group R-3m (No. 166, hexagonal axes)
Inequivalent atoms, fractional coordinates:
Y 0.0000 0.0000 0.1242 [6 per cell]
Th 0.0000 0.0000 0.2924 [6 per cell]